Simulated XRD peak list of LiVSO4F3 for CuKα, from a PBE+U-relaxed structure.
Peak positions follow from Bragg's law for the DFT cell and can differ from measured ones.

Peak list (8 most intense, 2θ = 10–80°, low angle first)
Position (°2θ)  d (Å)  I/Imax  (hkl)
14.4  6.149  460  0 1 1
17.0  5.210  1000  0 0 2
18.9  4.690  479  1 1 1
23.4  3.808  144  0 2 0
26.4  3.372  128  1 2 0
27.2  3.274  94  2 1 0
28.6  3.124  471  2 1 1
31.6  2.831  180  1 2 2

Structure:
a = 7.2532 Å, b = 7.6166 Å, c = 10.4190 Å
α = 90.00°, β = 90.00°, γ = 90.00°
Fractional positions:
Li (0.2387, 0.1811, 0.0000)
Li (0.2613, 0.6811, 0.5000)
Li (0.7387, 0.3189, 0.0000)
Li (0.7613, 0.8189, 0.5000)
V (0.0322, 0.2436, 0.7446)
V (0.4678, 0.7436, 0.2446)
V (0.5322, 0.2564, 0.7446)
V (0.9678, 0.7564, 0.2446)
S (0.2020, 0.4055, 0.2626)
S (0.2980, 0.9055, 0.7626)
S (0.7020, 0.0945, 0.2626)
S (0.7980, 0.5945, 0.7626)
O (0.0544, 0.5290, 0.2007)
O (0.1192, 0.3055, 0.3635)
O (0.1559, 0.0324, 0.8233)
O (0.2152, 0.8101, 0.6564)
O (0.2848, 0.3101, 0.1564)
O (0.3441, 0.5324, 0.3233)
O (0.3808, 0.8055, 0.8635)
O (0.4456, 0.0290, 0.7007)
O (0.5544, 0.9710, 0.2007)
O (0.6192, 0.1945, 0.3635)
O (0.6559, 0.4676, 0.8233)
O (0.7152, 0.6899, 0.6564)
O (0.7848, 0.1899, 0.1564)
O (0.8441, 0.9676, 0.3233)
O (0.8808, 0.6945, 0.8635)
O (0.9456, 0.4710, 0.7007)
F (0.0019, 0.7090, 0.4225)
F (0.0451, 0.1490, 0.5912)
F (0.2231, 0.8511, 0.2510)
F (0.2769, 0.3511, 0.7510)
F (0.4549, 0.6490, 0.0912)
F (0.4981, 0.2090, 0.9225)
F (0.5019, 0.7910, 0.4225)
F (0.5451, 0.3510, 0.5912)
F (0.7231, 0.6489, 0.2510)
F (0.7769, 0.1489, 0.7510)
F (0.9549, 0.8510, 0.0912)
F (0.9981, 0.2910, 0.9225)